Starting from a DFT-relaxed cell (GGA-PBE, Alexandria), the PXRD pattern of Ce4Se3O4 was simulated for Cu Kα (λ = 1.5418 Å).

Cell and atoms:
```
data_Ce4Se3O4
_cell_length_a 7.4514
_cell_length_b 7.4514
_cell_length_c 7.4514
_cell_angle_alpha 90.00
_cell_angle_beta 90.00
_cell_angle_gamma 90.00
_symmetry_space_group_name_H-M 'I -4 3 m'
_symmetry_Int_Tables_number 217
_symmetry_space_group_name_Hall 'I -4 2 3'
loop_
_atom_site_label
_atom_site_type_symbol
_atom_site_fract_x
_atom_site_fract_y
_atom_site_fract_z
Ce1 Ce 0.1749 0.1749 0.8251
Se1 Se 0.0000 0.0000 0.5000
O1 O 0.1389 0.1389 0.1389
```

Peak list (10 most intense, 2θ from 5° to 70°, most intense first)
29.36 deg, I 100.0, hkl 2 1 1
38.19 deg, I 53.3, hkl 3 1 0
34.03 deg, I 51.2, hkl 2 2 0
52.07 deg, I 51.1, hkl 3 3 0
58.06 deg, I 19.2, hkl 3 3 2
55.12 deg, I 16.5, hkl 4 2 0
60.91 deg, I 14.1, hkl 4 2 2
69.04 deg, I 13.2, hkl 5 2 1
42.00 deg, I 7.2, hkl 2 2 2
16.83 deg, I 6.6, hkl 1 1 0

---

Starting from a DFT-relaxed cell (GGA-PBE, Alexandria), the PXRD pattern of Ce2Ta3Se2O8 was simulated for Cu Kα (λ = 1.5418 Å).

Cell and atoms:
```
data_Ce2Ta3Se2O8
_cell_length_a 10.0037
_cell_length_b 11.9722
_cell_length_c 7.6718
_cell_angle_alpha 90.00
_cell_angle_beta 90.00
_cell_angle_gamma 90.00
_symmetry_space_group_name_H-M 'P n n m'
_symmetry_Int_Tables_number 58
_symmetry_space_group_name_Hall '-P 2 2n'
loop_
_atom_site_label
_atom_site_type_symbol
_atom_site_fract_x
_atom_site_fract_y
_atom_site_fract_z
Ce1 Ce 0.2120 0.1560 0.0000
Ce2 Ce 0.2286 0.1488 0.5000
Ta1 Ta 0.0000 0.5000 0.2861
Ta2 Ta 0.1355 0.9163 0.2498
Se1 Se 0.0200 0.3359 0.5000
Se2 Se 0.0232 0.3610 0.0000
O1 O 0.0568 0.1027 0.2538
O2 O 0.1353 0.9479 0.0000
O3 O 0.1492 0.9502 0.5000
O4 O 0.1976 0.5243 0.2636
O5 O 0.2126 0.7749 0.2477
```

Peak list (10 most intense, 2θ from 5° to 70°, most intense first)
27.77 deg, I 100.0, hkl 3 1 0
29.05 deg, I 99.0, hkl 1 2 2
27.62 deg, I 61.9, hkl 0 2 2
30.69 deg, I 40.3, hkl 3 2 0
14.80 deg, I 38.2, hkl 0 2 0
30.30 deg, I 38.0, hkl 2 1 2
53.38 deg, I 36.8, hkl 4 4 2
47.40 deg, I 34.5, hkl 0 0 4
37.15 deg, I 30.6, hkl 2 3 2
33.62 deg, I 30.3, hkl 1 3 2